Diffraction record for NaSrNiH4. The powder XRD pattern is theoretical, not measured: it uses a crystal structure in Alexandria, relaxed with GGA-PBE and Cu Kα X-rays.

Crystal structure
Lattice parameters (Å, degrees): 7.3536 7.3536 5.0325 90.00 90.00 140.27
Positions (direct):
Na1 0.1242 0.8758 0.7500
Na2 0.8758 0.1242 0.2500
Sr1 0.3804 0.6196 0.7500
Sr2 0.6196 0.3804 0.2500
Ni1 0.2513 0.7487 0.2500
Ni2 0.7487 0.2513 0.7500
H1 0.0000 0.5000 0.0000
H2 0.0000 0.5000 0.5000
H3 0.1327 0.8673 0.2500
H4 0.3733 0.6267 0.2500
H5 0.5000 0.0000 0.0000
H6 0.5000 0.0000 0.5000
H7 0.6267 0.3733 0.7500
H8 0.8673 0.1327 0.7500

Principal peaks in the range 2θ from 10° to 80°, by intensity:
2θ/deg, d (Å), intensity
31.8, 2.811, 1000
12.8, 6.916, 410
41.4, 2.181, 367
35.7, 2.516, 260
35.9, 2.499, 255
21.8, 4.069, 223
18.9, 4.700, 183
51.5, 1.773, 182
61.7, 1.503, 140
62.0, 1.496, 138